Structure and calculated PXRD pattern of Pm3Y6Ho (a PBE-relaxed structure; Cu Kα, 1.54184 Å).

Main lines, low angle first (10° ≤ 2θ ≤ 80°):
two_theta  I_rel  (hkl)
17.8  31  1 1 0
29.1  41  2 -1 3
31.2  100  3 0 0
32.4  26  1 0 4
37.2  16  0 2 4
41.6  25  3 -1 4
43.2  13  2 2 3
49.3  17  1 3 4
54.2  13  5 -1 3
55.5  19  3 3 0

Cell and atoms:
```
data_Pm3Y6Ho
_chemical_formula_sum 'Pm9 Y18 Ho3'
_symmetry_space_group_name_H-M 'R 3'
_symmetry_Int_Tables_number 146
_symmetry_space_group_name_Hall 'R 3'
_cell_length_a 9.9398
_cell_length_b 9.9398
_cell_length_c 11.6775
_cell_angle_alpha 90.00
_cell_angle_beta 90.00
_cell_angle_gamma 120.00
loop_
_atom_site_label
_atom_site_type_symbol
_atom_site_fract_x
_atom_site_fract_y
_atom_site_fract_z
Pm1 Pm 0.0000 0.0000 0.0000
Pm2 Pm 0.0000 0.0000 0.2490
Pm3 Pm 0.0000 0.0000 0.7497
Y1 Y 0.0024 0.3292 0.2487
Y2 Y 0.0067 0.6696 0.4148
Ho1 Ho 0.0000 0.0000 0.4998
```

***

Structure and calculated PXRD pattern of Al2SiAu8 (a PBE-relaxed structure; Cu Kα, 1.54184 Å).

Main lines, low angle first (10° ≤ 2θ ≤ 80°):
two_theta  I_rel  (hkl)
27.9  45  2 0 0
28.1  63  1 3 -1
30.6  37  2 2 0
38.1  77  1 5 -1
38.2  22  0 6 0
39.9  100  1 3 1
40.0  99  3 3 -1
42.0  58  2 0 -2
57.5  21  4 0 0
59.8  32  2 8 0

Cell and atoms:
```
data_Al2SiAu8
_chemical_formula_sum 'Al4 Si2 Au16'
_symmetry_space_group_name_H-M 'C 1 m 1'
_symmetry_Int_Tables_number 8
_symmetry_space_group_name_Hall 'C -2y'
_cell_length_a 7.703
_cell_length_b 14.140
_cell_length_c 4.302
_cell_angle_alpha 90.00
_cell_angle_beta 123.70
_cell_angle_gamma 90.00
loop_
_atom_site_label
_atom_site_type_symbol
_atom_site_fract_x
_atom_site_fract_y
_atom_site_fract_z
Al1 Al 0.000 0.176 0.000
Si1 Si 0.000 0.500 0.000
Au1 Au 0.000 0.303 0.500
Au2 Au 0.235 0.000 0.235
Au3 Au 0.237 0.134 0.737
Au4 Au 0.263 0.366 0.262
Au5 Au 0.266 0.500 0.766
```

***

Structure and calculated PXRD pattern of Ac6Pr3Tm (a PBE-relaxed structure; Cu Kα, 1.54184 Å).

Main lines, low angle first (10° ≤ 2θ ≤ 80°):
two_theta  I_rel  (hkl)
26.0  29  1 1 2
27.6  35  2 0 -3
28.7  100  2 0 2
29.0  47  2 2 0
29.7  63  4 0 -1
31.0  43  0 2 2
44.1  17  4 2 1
46.1  19  5 1 1
52.0  22  6 2 -2
58.9  20  4 4 -1

Cell and atoms:
```
data_Ac6Pr3Tm
_chemical_formula_sum 'Ac12 Pr6 Tm2'
_symmetry_space_group_name_H-M 'C 1 2/m 1'
_symmetry_Int_Tables_number 12
_symmetry_space_group_name_Hall '-C 2y'
_cell_length_a 12.037
_cell_length_b 7.355
_cell_length_c 9.938
_cell_angle_alpha 90.00
_cell_angle_beta 110.15
_cell_angle_gamma 90.00
loop_
_atom_site_label
_atom_site_type_symbol
_atom_site_fract_x
_atom_site_fract_y
_atom_site_fract_z
Ac1 Ac 0.127 0.000 0.413
Ac2 Ac 0.194 0.249 0.800
Pr1 Pr 0.000 0.500 0.500
Pr2 Pr 0.055 0.500 0.165
Tm1 Tm 0.000 0.000 0.000
```

***

Structure and calculated PXRD pattern of Li3GaF7 (a PBE-relaxed structure; Cu Kα, 1.54184 Å).

Main lines, low angle first (10° ≤ 2θ ≤ 80°):
two_theta  I_rel  (hkl)
17.3  99  1 0 1
21.4  83  1 1 0
27.3  86  0 1 2
27.6  100  0 2 1
35.2  32  2 1 1
37.5  25  3 0 0
42.9  31  1 1 3
43.6  38  2 2 0
47.2  26  1 3 1
53.5  31  0 3 3

Cell and atoms:
```
data_Li3GaF7
_chemical_formula_sum 'Li9 Ga3 F21'
_symmetry_space_group_name_H-M 'R 3 m'
_symmetry_Int_Tables_number 160
_symmetry_space_group_name_Hall 'R 3 -2"'
_cell_length_a 8.3036
_cell_length_b 8.3036
_cell_length_c 7.3349
_cell_angle_alpha 90.00
_cell_angle_beta 90.00
_cell_angle_gamma 120.00
loop_
_atom_site_label
_atom_site_type_symbol
_atom_site_fract_x
_atom_site_fract_y
_atom_site_fract_z
Li1 Li 0.0843 0.5422 0.0000
Ga1 Ga 0.0000 0.0000 0.9313
F1 F 0.0000 0.0000 0.1792
F2 F 0.2031 0.4061 0.1104
F3 F 0.2151 0.4303 0.5252
```